Starting from a structure optimized by DFT (PBE+U), the powder X-ray diffraction pattern of Sr2VMoO6 was simulated for λ = 1.5418 Å (Cu Kα).

Largest 10 diffraction maxima, in order of rising 2θ, 15° ≤ 2θ ≤ 90°:
hkl 2 2 0, 31.65°, rel. 100; hkl 2 2 2, 39.03°, rel. 7; hkl 0 0 4, 45.25°, rel. 12; hkl 4 0 0, 45.44°, rel. 24; hkl 2 2 4, 56.35°, rel. 25; hkl 4 2 2, 56.44°, rel. 13; hkl 4 0 4, 66.07°, rel. 14; hkl 4 4 0, 66.21°, rel. 7; hkl 2 0 6, 74.97°, rel. 6; hkl 4 4 4, 83.84°, rel. 7

Atomic structure:
```
data_Sr2VMoO6
_chemical_formula_sum 'Sr8 V4 Mo4 O24'
_symmetry_space_group_name_H-M 'I m m m'
_symmetry_Int_Tables_number 71
_symmetry_space_group_name_Hall '-I 2 2'
_cell_length_a 7.979
_cell_length_b 7.990
_cell_length_c 8.015
_cell_angle_alpha 90.00
_cell_angle_beta 90.00
_cell_angle_gamma 90.00
loop_
_atom_site_label
_atom_site_type_symbol
_atom_site_fract_x
_atom_site_fract_y
_atom_site_fract_z
Sr1 Sr 0.250 0.250 0.250
V1 V 0.000 0.000 0.000
V2 V 0.000 0.000 0.500
Mo1 Mo 0.000 0.500 0.000
Mo2 Mo 0.000 0.500 0.500
O1 O 0.000 0.000 0.250
O2 O 0.000 0.238 0.000
O3 O 0.000 0.249 0.500
O4 O 0.000 0.500 0.259
O5 O 0.237 0.000 0.500
O6 O 0.249 0.000 0.000
```